1.
# Cd2GaAu3
Theoretical X-ray diffraction stick pattern, Cu Ka. Input: DFT lattice parameters and positions (PBE).
Intensities are scaled so that the largest is 1000.

Largest 12 diffraction maxima, low angle first, 2θ from 10° to 80°:
| 2theta | d_spacing | I_rel |
| --- | --- | --- |
| 28.74 | 3.106 | 255 |
| 32.40 | 2.763 | 488 |
| 32.80 | 2.730 | 974 |
| 33.16 | 2.702 | 963 |
| 35.86 | 2.504 | 324 |
| 41.26 | 2.188 | 1000 |
| 41.60 | 2.171 | 461 |
| 42.05 | 2.149 | 163 |
| 44.93 | 2.018 | 452 |
| 48.49 | 1.877 | 429 |
| 70.42 | 1.337 | 168 |
| 70.97 | 1.328 | 172 |

Cell: 12.4220 5.5306 7.5096 Å, 90.00 108.20 90.00°
Space group C2/c (No. 15)
Symmetry-distinct sites (fractional):
Cd 0.1864 0.0016 0.0919 [8 per cell]
Ga 0.0000 0.2854 0.7500 [4 per cell]
Au 0.0000 0.1734 0.2500 [4 per cell]
Au 0.1291 0.4983 0.5651 [8 per cell]

---

2.
# Cd3GaAu6
Theoretical X-ray diffraction stick pattern, Cu Ka. Input: DFT lattice parameters and positions (PBE).
Intensities are scaled so that the largest is 1000.

Largest 12 diffraction maxima, low angle first, 2θ from 10° to 80°:
| 2theta | d_spacing | I_rel |
| --- | --- | --- |
| 30.61 | 2.921 | 148 |
| 31.19 | 2.868 | 112 |
| 37.25 | 2.414 | 1000 |
| 37.75 | 2.383 | 822 |
| 39.87 | 2.261 | 165 |
| 42.71 | 2.117 | 296 |
| 43.16 | 2.096 | 394 |
| 44.85 | 2.021 | 198 |
| 62.34 | 1.489 | 199 |
| 63.99 | 1.455 | 122 |
| 75.23 | 1.263 | 177 |
| 75.55 | 1.259 | 110 |

Cell: 9.1991 4.1922 10.7397 Å, 90.00 107.64 90.00°
Space group P2_1/m (No. 11)
Symmetry-distinct sites (fractional):
Cd 0.0024 0.2500 0.2115 [2 per cell]
Cd 0.2860 0.7500 0.3271 [2 per cell]
Cd 0.3162 0.2500 0.0900 [2 per cell]
Ga 0.2259 0.7500 0.6659 [2 per cell]
Au 0.0082 0.7500 0.3996 [2 per cell]
Au 0.0981 0.7500 0.0669 [2 per cell]
Au 0.2551 0.2500 0.5119 [2 per cell]
Au 0.3432 0.7500 0.9195 [2 per cell]
Au 0.4658 0.2500 0.7980 [2 per cell]
Au 0.4917 0.7500 0.6052 [2 per cell]

---

3.
# Cd3GaAu3
Theoretical X-ray diffraction stick pattern, Cu Ka. Input: DFT lattice parameters and positions (PBE).
Intensities are scaled so that the largest is 1000.

Largest 12 diffraction maxima, low angle first, 2θ from 10° to 80°:
| 2theta | d_spacing | I_rel |
| --- | --- | --- |
| 18.31 | 4.846 | 133 |
| 19.42 | 4.572 | 278 |
| 31.30 | 2.858 | 88 |
| 33.96 | 2.639 | 71 |
| 37.10 | 2.423 | 1000 |
| 39.42 | 2.286 | 846 |
| 42.21 | 2.141 | 78 |
| 55.24 | 1.663 | 314 |
| 65.31 | 1.429 | 189 |
| 69.97 | 1.345 | 308 |
| 71.49 | 1.320 | 160 |
| 79.03 | 1.212 | 114 |

Cell: 9.1432 9.1432 6.1281 Å, 90.00 90.00 120.00°
Space group R-3m (No. 166, hexagonal axes)
Symmetry-distinct sites (fractional):
Cd 0.0000 0.5000 0.0000 [9 per cell]
Ga 0.0000 0.0000 0.0000 [3 per cell]
Au 0.0000 0.5000 0.5000 [9 per cell]

---

4.
# Cd3Ga2Au7
Theoretical X-ray diffraction stick pattern, Cu Ka. Input: DFT lattice parameters and positions (PBE).
Intensities are scaled so that the largest is 1000.

Largest 12 diffraction maxima, low angle first, 2θ from 10° to 80°:
| 2theta | d_spacing | I_rel |
| --- | --- | --- |
| 18.08 | 4.907 | 100 |
| 21.85 | 4.068 | 75 |
| 25.83 | 3.449 | 143 |
| 34.08 | 2.631 | 275 |
| 34.27 | 2.617 | 494 |
| 36.64 | 2.453 | 463 |
| 41.20 | 2.191 | 1000 |
| 43.41 | 2.085 | 74 |
| 51.03 | 1.790 | 321 |
| 66.09 | 1.414 | 247 |
| 69.06 | 1.360 | 217 |
| 72.20 | 1.308 | 59 |

Cell: 5.2338 19.3955 4.9067 Å, 90.00 90.00 90.00°
Space group Cmmm (No. 65)
Symmetry-distinct sites (fractional):
Cd 0.0000 0.0000 0.0000 [2 per cell]
Cd 0.0000 0.1577 0.0000 [4 per cell]
Ga 0.0000 0.3563 0.5000 [4 per cell]
Au 0.0000 0.0762 0.5000 [4 per cell]
Au 0.0000 0.2245 0.5000 [4 per cell]
Au 0.0000 0.4154 0.0000 [4 per cell]
Au 0.0000 0.5000 0.5000 [2 per cell]

---

5.
# Cd6GaAu
Theoretical X-ray diffraction stick pattern, Cu Ka. Input: DFT lattice parameters and positions (PBE).
Intensities are scaled so that the largest is 1000.

Largest 12 diffraction maxima, low angle first, 2θ from 10° to 80°:
| 2theta | d_spacing | I_rel |
| --- | --- | --- |
| 31.30 | 2.858 | 1000 |
| 35.73 | 2.513 | 770 |
| 36.19 | 2.482 | 761 |
| 37.67 | 2.388 | 646 |
| 39.90 | 2.260 | 558 |
| 41.10 | 2.196 | 489 |
| 41.93 | 2.155 | 477 |
| 53.95 | 1.700 | 198 |
| 55.30 | 1.661 | 195 |
| 61.93 | 1.498 | 148 |
| 63.06 | 1.474 | 287 |
| 74.73 | 1.270 | 156 |

Cell: 5.1715 5.8881 6.7270 Å, 107.45 107.16 103.61°
Space group P-1 (No. 2)
Symmetry-distinct sites (fractional):
Cd 0.1278 0.1238 0.2451 [2 per cell]
Cd 0.2446 0.7244 0.5058 [2 per cell]
Cd 0.3709 0.3360 0.7576 [2 per cell]
Ga 0.0000 0.5000 0.0000 [1 per cell]
Au 0.5000 0.0000 0.0000 [1 per cell]

---

6.
# Cd2GaAu7
Theoretical X-ray diffraction stick pattern, Cu Ka. Input: DFT lattice parameters and positions (PBE).
Intensities are scaled so that the largest is 1000.

Largest 12 diffraction maxima, low angle first, 2θ from 10° to 80°:
| 2theta | d_spacing | I_rel |
| --- | --- | --- |
| 17.68 | 5.016 | 373 |
| 29.53 | 3.024 | 50 |
| 30.88 | 2.896 | 903 |
| 35.81 | 2.508 | 1000 |
| 39.14 | 2.301 | 64 |
| 40.20 | 2.243 | 193 |
| 51.54 | 1.773 | 703 |
| 54.92 | 1.672 | 100 |
| 61.30 | 1.512 | 375 |
| 64.34 | 1.448 | 238 |
| 75.88 | 1.254 | 111 |
| 78.65 | 1.216 | 57 |

Cell: 10.0311 10.0311 10.0311 Å, 90.00 90.00 90.00°
Space group Fm-3m (No. 225)
Symmetry-distinct sites (fractional):
Cd 0.2500 0.2500 0.2500 [8 per cell]
Ga 0.0000 0.0000 0.0000 [4 per cell]
Au 0.0000 0.0000 0.2408 [24 per cell]
Au 0.0000 0.0000 0.5000 [4 per cell]

---

7.
# K2CdGaAu2
Theoretical X-ray diffraction stick pattern, Cu Ka. Input: DFT lattice parameters and positions (PBE).
Intensities are scaled so that the largest is 1000.

Largest 12 diffraction maxima, low angle first, 2θ from 10° to 80°:
| 2theta | d_spacing | I_rel |
| --- | --- | --- |
| 12.52 | 7.071 | 1000 |
| 21.75 | 4.086 | 555 |
| 23.72 | 3.751 | 129 |
| 30.97 | 2.888 | 745 |
| 34.87 | 2.573 | 155 |
| 35.88 | 2.503 | 523 |
| 36.90 | 2.436 | 134 |
| 38.14 | 2.360 | 280 |
| 45.45 | 1.996 | 152 |
| 46.49 | 1.953 | 207 |
| 47.10 | 1.930 | 147 |
| 49.69 | 1.835 | 198 |

Cell: 7.5026 14.1414 6.7211 Å, 90.00 90.00 90.00°
Space group Ibam (No. 72)
Symmetry-distinct sites (fractional):
K 0.2336 0.1784 0.0000 [8 per cell]
Cd 0.0000 0.5000 0.2500 [4 per cell]
Ga 0.0000 0.0000 0.2500 [4 per cell]
Au 0.2254 0.0761 0.5000 [8 per cell]

---

8.
# KCdGa2Au5
Theoretical X-ray diffraction stick pattern, Cu Ka. Input: DFT lattice parameters and positions (PBE).
Intensities are scaled so that the largest is 1000.

Largest 12 diffraction maxima, low angle first, 2θ from 10° to 80°:
| 2theta | d_spacing | I_rel |
| --- | --- | --- |
| 20.36 | 4.362 | 289 |
| 27.25 | 3.272 | 632 |
| 28.98 | 3.081 | 468 |
| 32.09 | 2.790 | 475 |
| 36.31 | 2.474 | 921 |
| 38.95 | 2.312 | 333 |
| 47.12 | 1.929 | 1000 |
| 52.30 | 1.749 | 324 |
| 59.99 | 1.542 | 213 |
| 60.90 | 1.521 | 236 |
| 72.24 | 1.308 | 160 |
| 73.03 | 1.296 | 269 |

Cell: 4.9479 4.9479 9.2440 Å, 90.00 90.00 90.00°
Space group P4/mmm (No. 123)
Symmetry-distinct sites (fractional):
K 0.0000 0.0000 0.0000 [1 per cell]
Cd 0.0000 0.0000 0.5000 [1 per cell]
Ga 0.5000 0.5000 0.2726 [2 per cell]
Au 0.0000 0.5000 0.3392 [4 per cell]
Au 0.5000 0.5000 0.0000 [1 per cell]

---

9.
# LiCd2GaAu2
Theoretical X-ray diffraction stick pattern, Cu Ka. Input: DFT lattice parameters and positions (PBE).
Intensities are scaled so that the largest is 1000.

Largest 12 diffraction maxima, low angle first, 2θ from 10° to 80°:
| 2theta | d_spacing | I_rel |
| --- | --- | --- |
| 21.99 | 4.042 | 183 |
| 26.82 | 3.324 | 277 |
| 28.75 | 3.105 | 198 |
| 30.61 | 2.920 | 311 |
| 37.56 | 2.395 | 1000 |
| 38.01 | 2.367 | 535 |
| 39.07 | 2.306 | 390 |
| 49.22 | 1.851 | 284 |
| 50.43 | 1.810 | 158 |
| 55.27 | 1.662 | 179 |
| 69.80 | 1.347 | 115 |
| 76.41 | 1.247 | 156 |

Cell: 4.6111 8.4022 5.8404 Å, 90.00 90.00 90.00°
Space group Pmc2_1 (No. 26)
Symmetry-distinct sites (fractional):
Li 0.0000 0.0022 0.0000 [2 per cell]
Cd 0.0000 0.3363 0.2740 [2 per cell]
Cd 0.5000 0.4755 0.9972 [2 per cell]
Ga 0.5000 0.1585 0.7260 [2 per cell]
Au 0.0000 0.3023 0.7686 [2 per cell]
Au 0.5000 0.1449 0.2497 [2 per cell]

---

10.
# Pm4CdGaAu2
Theoretical X-ray diffraction stick pattern, Cu Ka. Input: DFT lattice parameters and positions (PBE).
Intensities are scaled so that the largest is 1000.

Largest 12 diffraction maxima, low angle first, 2θ from 10° to 80°:
| 2theta | d_spacing | I_rel |
| --- | --- | --- |
| 20.72 | 4.288 | 94 |
| 30.98 | 2.887 | 90 |
| 33.76 | 2.655 | 912 |
| 34.22 | 2.620 | 1000 |
| 46.65 | 1.947 | 51 |
| 48.84 | 1.865 | 323 |
| 60.10 | 1.540 | 115 |
| 60.98 | 1.519 | 331 |
| 61.28 | 1.513 | 186 |
| 64.10 | 1.453 | 76 |
| 71.01 | 1.327 | 70 |
| 72.10 | 1.310 | 115 |

Cell: 5.2401 5.2401 26.1871 Å, 90.00 90.00 120.00°
Space group R-3m (No. 166, hexagonal axes)
Symmetry-distinct sites (fractional):
Pm 0.0000 0.0000 0.1198 [6 per cell]
Pm 0.0000 0.0000 0.3712 [6 per cell]
Cd 0.0000 0.0000 0.5000 [3 per cell]
Ga 0.0000 0.0000 0.0000 [3 per cell]
Au 0.0000 0.0000 0.2392 [6 per cell]

---

11.
# PmCd2GaAu4
Theoretical X-ray diffraction stick pattern, Cu Ka. Input: DFT lattice parameters and positions (PBE).
Intensities are scaled so that the largest is 1000.

Largest 12 diffraction maxima, low angle first, 2θ from 10° to 80°:
| 2theta | d_spacing | I_rel |
| --- | --- | --- |
| 25.78 | 3.456 | 160 |
| 27.78 | 3.211 | 91 |
| 32.57 | 2.749 | 132 |
| 35.27 | 2.545 | 972 |
| 38.24 | 2.354 | 1000 |
| 44.22 | 2.048 | 94 |
| 52.99 | 1.728 | 303 |
| 61.29 | 1.512 | 89 |
| 66.94 | 1.398 | 120 |
| 67.21 | 1.393 | 296 |
| 69.12 | 1.359 | 176 |
| 72.74 | 1.300 | 57 |

Cell: 4.7076 4.7076 26.0597 Å, 90.00 90.00 120.00°
Space group R-3m (No. 166, hexagonal axes)
Symmetry-distinct sites (fractional):
Pm 0.0000 0.0000 0.0000 [3 per cell]
Cd 0.0000 0.0000 0.2476 [6 per cell]
Ga 0.0000 0.0000 0.5000 [3 per cell]
Au 0.0000 0.0000 0.1307 [6 per cell]
Au 0.0000 0.0000 0.3914 [6 per cell]

---

12.
# PrCdGa2Au4
Theoretical X-ray diffraction stick pattern, Cu Ka. Input: DFT lattice parameters and positions (PBE).
Intensities are scaled so that the largest is 1000.

Largest 12 diffraction maxima, low angle first, 2θ from 10° to 80°:
| 2theta | d_spacing | I_rel |
| --- | --- | --- |
| 23.67 | 3.759 | 124 |
| 26.05 | 3.421 | 215 |
| 31.73 | 2.820 | 99 |
| 34.03 | 2.634 | 1000 |
| 39.07 | 2.306 | 222 |
| 40.09 | 2.249 | 900 |
| 41.77 | 2.163 | 91 |
| 53.57 | 1.711 | 275 |
| 56.65 | 1.625 | 85 |
| 64.01 | 1.455 | 96 |
| 68.97 | 1.362 | 266 |
| 72.84 | 1.298 | 230 |

Cell: 4.4989 4.4989 28.6016 Å, 90.00 90.00 120.00°
Space group R-3m (No. 166, hexagonal axes)
Symmetry-distinct sites (fractional):
Pr 0.0000 0.0000 0.0000 [3 per cell]
Cd 0.0000 0.0000 0.5000 [3 per cell]
Ga 0.0000 0.0000 0.2493 [6 per cell]
Au 0.0000 0.0000 0.1215 [6 per cell]
Au 0.0000 0.0000 0.3948 [6 per cell]

---

13.
# Sr3Cd2Ga2Au4
Theoretical X-ray diffraction stick pattern, Cu Ka. Input: DFT lattice parameters and positions (PBE).
Intensities are scaled so that the largest is 1000.

Largest 12 diffraction maxima, low angle first, 2θ from 10° to 80°:
| 2theta | d_spacing | I_rel |
| --- | --- | --- |
| 21.77 | 4.083 | 202 |
| 23.76 | 3.744 | 264 |
| 24.84 | 3.585 | 541 |
| 28.24 | 3.160 | 165 |
| 32.45 | 2.759 | 859 |
| 38.18 | 2.357 | 1000 |
| 42.44 | 2.130 | 345 |
| 45.47 | 1.995 | 295 |
| 50.95 | 1.792 | 241 |
| 63.45 | 1.466 | 170 |
| 65.42 | 1.427 | 227 |
| 69.01 | 1.361 | 175 |

Cell: 4.7143 4.7143 14.9770 Å, 90.00 90.00 120.00°
Space group P-3m1 (No. 164)
Symmetry-distinct sites (fractional):
Sr 0.0000 0.0000 0.0000 [1 per cell]
Sr 0.0000 0.0000 0.2673 [2 per cell]
Cd 0.3333 0.6667 0.5660 [2 per cell]
Ga 0.3333 0.6667 0.1370 [2 per cell]
Au 0.3333 0.6667 0.3749 [2 per cell]
Au 0.3333 0.6667 0.8684 [2 per cell]

---

14.
# UCdGa2Au5
Theoretical X-ray diffraction stick pattern, Cu Ka. Input: DFT lattice parameters and positions (PBE).
Intensities are scaled so that the largest is 1000.

Largest 12 diffraction maxima, low angle first, 2θ from 10° to 80°:
| 2theta | d_spacing | I_rel |
| --- | --- | --- |
| 22.52 | 3.948 | 78 |
| 34.97 | 2.566 | 1000 |
| 35.73 | 2.513 | 106 |
| 39.09 | 2.305 | 113 |
| 41.34 | 2.184 | 429 |
| 41.45 | 2.178 | 143 |
| 55.76 | 1.649 | 61 |
| 58.21 | 1.585 | 175 |
| 59.89 | 1.544 | 145 |
| 68.17 | 1.376 | 82 |
| 71.27 | 1.323 | 260 |
| 73.87 | 1.283 | 73 |

Cell: 4.3684 4.3684 9.2181 Å, 90.00 90.00 90.00°
Space group P4/mmm (No. 123)
Symmetry-distinct sites (fractional):
U 0.0000 0.0000 0.0000 [1 per cell]
Cd 0.0000 0.0000 0.5000 [1 per cell]
Ga 0.5000 0.5000 0.1310 [2 per cell]
Au 0.0000 0.5000 0.2786 [4 per cell]
Au 0.5000 0.5000 0.5000 [1 per cell]